[1]
The following is a theoretical X-ray diffraction stick pattern of Sr3Zn8Cd3. It was derived from a DFT-relaxed cell (PBE, Alexandria), using Cu Kα, 1.54184 Å.
Lines closer than 0.1° are merged.

Largest 12 diffraction maxima, most intense first, 2θ from 10° to 80°:
2θ = 33.04°, intensity 100
2θ = 38.85°, intensity 39
2θ = 36.70°, intensity 32
2θ = 38.17°, intensity 28
2θ = 55.60°, intensity 18
2θ = 63.79°, intensity 14
2θ = 34.17°, intensity 14
2θ = 66.68°, intensity 12
2θ = 27.65°, intensity 12
2θ = 43.08°, intensity 11
2θ = 34.36°, intensity 11
2θ = 37.23°, intensity 10

Structure:
Cell: 8.822 8.822 8.822 Å, 149.53 115.05 73.42°
Sites, in units of the cell vectors:
Sr  0.000  0.000  0.000
Sr  0.300  0.300  0.000
Sr  0.700  0.700  0.000
Zn  0.029  0.668  0.361
Zn  0.129  0.855  0.274
Zn  0.308  0.668  0.639
Zn  0.419  0.145  0.274
Zn  0.581  0.855  0.726
Zn  0.692  0.332  0.361
Zn  0.871  0.145  0.726
Zn  0.971  0.332  0.639
Cd  0.291  0.500  0.791
Cd  0.500  0.000  0.500
Cd  0.709  0.500  0.209

[2]
The following is a theoretical X-ray diffraction stick pattern of TaCd8. It was derived from a DFT-relaxed cell (PBE, Alexandria), using Cu Kα, 1.54184 Å.
Lines closer than 0.1° are merged.

Largest 12 diffraction maxima, most intense first, 2θ from 10° to 80°:
2θ = 38.36°, intensity 100
2θ = 33.29°, intensity 74
2θ = 62.87°, intensity 44
2θ = 47.79°, intensity 26
2θ = 72.50°, intensity 14
2θ = 79.65°, intensity 11
2θ = 69.90°, intensity 8
2θ = 62.31°, intensity 6
2θ = 10.96°, intensity 4
2θ = 15.52°, intensity 2
2θ = 41.61°, intensity 1
2θ = 24.65°, intensity 1

Structure:
Cell: 8.211 8.211 8.211 Å, 91.89 91.89 159.09°
Sites, in units of the cell vectors:
Ta  0.000  0.000  0.000
Cd  0.000  0.334  0.334
Cd  0.000  0.666  0.666
Cd  0.334  0.000  0.334
Cd  0.336  0.336  0.672
Cd  0.336  0.664  0.000
Cd  0.664  0.336  0.000
Cd  0.664  0.664  0.328
Cd  0.666  0.000  0.666

[3]
The following is a theoretical X-ray diffraction stick pattern of Ta2VCdTc. It was derived from a DFT-relaxed cell (PBE, Alexandria), using Cu Kα, 1.54184 Å.
Lines closer than 0.1° are merged.

Largest 12 diffraction maxima, most intense first, 2θ from 10° to 80°:
2θ = 32.81°, intensity 100
2θ = 37.03°, intensity 79
2θ = 55.71°, intensity 48
2θ = 19.74°, intensity 42
2θ = 40.09°, intensity 32
2θ = 64.08°, intensity 29
2θ = 53.36°, intensity 27
2θ = 27.02°, intensity 26
2θ = 68.79°, intensity 25
2θ = 42.30°, intensity 24
2θ = 68.26°, intensity 12
2θ = 46.43°, intensity 12

Structure:
Cell: 4.856 4.856 4.498 Å, 90.00 90.00 90.00°
Sites, in units of the cell vectors:
Ta  0.000  0.500  0.000
Ta  0.500  0.000  0.000
V  0.000  0.000  0.500
Cd  0.500  0.500  0.500
Tc  0.000  0.000  0.000

[4]
The following is a theoretical X-ray diffraction stick pattern of Zr2TaCd. It was derived from a DFT-relaxed cell (PBE, Alexandria), using Cu Kα, 1.54184 Å.
Lines closer than 0.1° are merged.

Largest 12 diffraction maxima, most intense first, 2θ from 10° to 80°:
2θ = 36.00°, intensity 100
2θ = 36.76°, intensity 23
2θ = 38.94°, intensity 20
2θ = 65.71°, intensity 16
2θ = 68.61°, intensity 15
2θ = 54.62°, intensity 14
2θ = 76.35°, intensity 11
2θ = 48.93°, intensity 10
2θ = 62.73°, intensity 9
2θ = 64.23°, intensity 9
2θ = 41.68°, intensity 5
2θ = 32.19°, intensity 3

Structure:
Cell: 3.723 4.626 9.780 Å, 90.00 90.00 90.00°
Sites, in units of the cell vectors:
Zr  0.000  0.000  0.000
Zr  0.000  0.500  0.259
Zr  0.500  0.000  0.259
Zr  0.500  0.500  0.000
Ta  0.000  0.000  0.495
Ta  0.500  0.500  0.495
Cd  0.000  0.500  0.740
Cd  0.500  0.000  0.740

[5]
The following is a theoretical X-ray diffraction stick pattern of TbCd2. It was derived from a DFT-relaxed cell (PBE, Alexandria), using Cu Kα, 1.54184 Å.
Lines closer than 0.1° are merged.

Largest 12 diffraction maxima, most intense first, 2θ from 10° to 80°:
2θ = 33.46°, intensity 100
2θ = 35.89°, intensity 84
2θ = 49.88°, intensity 32
2θ = 62.97°, intensity 31
2θ = 66.39°, intensity 27
2θ = 64.51°, intensity 15
2θ = 76.09°, intensity 9
2θ = 53.81°, intensity 8
2θ = 20.50°, intensity 4
2θ = 44.95°, intensity 3
2θ = 26.15°, intensity 2
2θ = 41.69°, intensity 1

Structure:
Cell: 5.004 5.004 3.407 Å, 90.00 90.00 120.00°
Sites, in units of the cell vectors:
Tb  0.000  0.000  0.000
Cd  0.333  0.667  0.500
Cd  0.667  0.333  0.500

[6]
The following is a theoretical X-ray diffraction stick pattern of Tb4Cd. It was derived from a DFT-relaxed cell (PBE, Alexandria), using Cu Kα, 1.54184 Å.
Lines closer than 0.1° are merged.

Largest 12 diffraction maxima, most intense first, 2θ from 10° to 80°:
2θ = 33.13°, intensity 100
2θ = 26.73°, intensity 49
2θ = 33.01°, intensity 46
2θ = 30.13°, intensity 37
2θ = 35.18°, intensity 33
2θ = 30.28°, intensity 27
2θ = 31.85°, intensity 26
2θ = 31.32°, intensity 22
2θ = 29.71°, intensity 22
2θ = 61.65°, intensity 20
2θ = 35.40°, intensity 19
2θ = 53.67°, intensity 16

Structure:
Cell: 9.491 9.491 6.064 Å, 101.39 101.39 137.81°
Sites, in units of the cell vectors:
Tb  0.053  0.476  0.763
Tb  0.099  0.265  0.128
Tb  0.265  0.099  0.628
Tb  0.476  0.053  0.263
Tb  0.524  0.947  0.737
Tb  0.735  0.901  0.372
Tb  0.901  0.735  0.872
Tb  0.947  0.524  0.237
Cd  0.441  0.559  0.750
Cd  0.559  0.441  0.250

[7]
The following is a theoretical X-ray diffraction stick pattern of Tb8Cd. It was derived from a DFT-relaxed cell (PBE, Alexandria), using Cu Kα, 1.54184 Å.
Lines closer than 0.1° are merged.

Largest 8 diffraction maxima, most intense first, 2θ from 10° to 80°:
2θ = 31.18°, intensity 100
2θ = 36.16°, intensity 50
2θ = 52.07°, intensity 36
2θ = 61.92°, intensity 28
2θ = 62.00°, intensity 14
2θ = 65.03°, intensity 12
2θ = 76.79°, intensity 4
2θ = 76.63°, intensity 2

Structure:
Cell: 10.540 7.863 7.848 Å, 84.26 47.93 47.81°
Sites, in units of the cell vectors:
Tb  0.164  0.164  0.836
Tb  0.164  0.836  0.164
Tb  0.167  0.500  0.500
Tb  0.500  0.167  0.833
Tb  0.500  0.833  0.167
Tb  0.833  0.500  0.500
Tb  0.836  0.164  0.836
Tb  0.836  0.836  0.164
Cd  0.500  0.500  0.500

[8]
The following is a theoretical X-ray diffraction stick pattern of TbCd3. It was derived from a DFT-relaxed cell (PBE, Alexandria), using Cu Kα, 1.54184 Å.
Lines closer than 0.1° are merged.

Largest 12 diffraction maxima, most intense first, 2θ from 10° to 80°:
2θ = 35.16°, intensity 100
2θ = 36.69°, intensity 28
2θ = 37.61°, intensity 21
2θ = 32.67°, intensity 19
2θ = 65.09°, intensity 16
2θ = 33.06°, intensity 13
2θ = 49.94°, intensity 11
2θ = 29.88°, intensity 11
2θ = 69.36°, intensity 9
2θ = 56.59°, intensity 9
2θ = 51.21°, intensity 8
2θ = 64.64°, intensity 8

Structure:
Cell: 7.135 10.963 4.898 Å, 90.00 90.00 90.00°
Sites, in units of the cell vectors:
Tb  0.000  0.137  0.250
Tb  0.000  0.863  0.750
Tb  0.500  0.363  0.750
Tb  0.500  0.637  0.250
Cd  0.000  0.326  0.750
Cd  0.000  0.674  0.250
Cd  0.217  0.406  0.250
Cd  0.217  0.594  0.750
Cd  0.283  0.094  0.750
Cd  0.283  0.906  0.250
Cd  0.500  0.174  0.250
Cd  0.500  0.826  0.750
Cd  0.717  0.094  0.750
Cd  0.717  0.906  0.250
Cd  0.783  0.406  0.250
Cd  0.783  0.594  0.750

[9]
The following is a theoretical X-ray diffraction stick pattern of Tb7Cd3. It was derived from a DFT-relaxed cell (PBE, Alexandria), using Cu Kα, 1.54184 Å.
Lines closer than 0.1° are merged.

Largest 12 diffraction maxima, most intense first, 2θ from 10° to 80°:
2θ = 33.44°, intensity 100
2θ = 30.09°, intensity 56
2θ = 35.61°, intensity 24
2θ = 28.16°, intensity 21
2θ = 61.79°, intensity 15
2θ = 49.66°, intensity 14
2θ = 54.21°, intensity 13
2θ = 54.60°, intensity 12
2θ = 53.05°, intensity 11
2θ = 30.71°, intensity 11
2θ = 51.06°, intensity 10
2θ = 37.99°, intensity 9

Structure:
Cell: 10.085 10.085 6.802 Å, 90.00 90.00 120.00°
Sites, in units of the cell vectors:
Tb  0.061  0.531  0.000
Tb  0.125  0.250  0.739
Tb  0.125  0.875  0.739
Tb  0.250  0.125  0.239
Tb  0.333  0.667  0.617
Tb  0.469  0.531  0.000
Tb  0.469  0.939  0.000
Tb  0.531  0.061  0.500
Tb  0.531  0.469  0.500
Tb  0.667  0.333  0.117
Tb  0.750  0.875  0.739
Tb  0.875  0.125  0.239
Tb  0.875  0.750  0.239
Tb  0.939  0.469  0.500
Cd  0.205  0.410  0.300
Cd  0.205  0.795  0.300
Cd  0.410  0.205  0.800
Cd  0.590  0.795  0.300
Cd  0.795  0.205  0.800
Cd  0.795  0.590  0.800

[10]
The following is a theoretical X-ray diffraction stick pattern of Tb8Cd. It was derived from a DFT-relaxed cell (PBE, Alexandria), using Cu Kα, 1.54184 Å.
Lines closer than 0.1° are merged.

Largest 12 diffraction maxima, most intense first, 2θ from 10° to 80°:
2θ = 32.62°, intensity 100
2θ = 31.10°, intensity 56
2θ = 56.30°, intensity 40
2θ = 44.56°, intensity 20
2θ = 59.14°, intensity 18
2θ = 68.33°, intensity 11
2θ = 73.67°, intensity 8
2θ = 74.50°, intensity 8
2θ = 48.95°, intensity 8
2θ = 64.85°, intensity 6
2θ = 44.40°, intensity 2
2θ = 29.28°, intensity 1

Structure:
Cell: 8.825 8.825 8.825 Å, 92.55 92.55 155.65°
Sites, in units of the cell vectors:
Tb  0.000  0.336  0.336
Tb  0.000  0.664  0.664
Tb  0.336  0.000  0.336
Tb  0.342  0.342  0.684
Tb  0.342  0.658  0.000
Tb  0.658  0.342  0.000
Tb  0.658  0.658  0.316
Tb  0.664  0.000  0.664
Cd  0.000  0.000  0.000

[11]
The following is a theoretical X-ray diffraction stick pattern of Tb2ThCd6. It was derived from a DFT-relaxed cell (PBE, Alexandria), using Cu Kα, 1.54184 Å.
Lines closer than 0.1° are merged.

Largest 12 diffraction maxima, most intense first, 2θ from 10° to 80°:
2θ = 33.33°, intensity 100
2θ = 35.64°, intensity 81
2θ = 49.59°, intensity 32
2θ = 62.55°, intensity 32
2θ = 66.14°, intensity 26
2θ = 64.01°, intensity 14
2θ = 75.47°, intensity 9
2θ = 53.71°, intensity 8
2θ = 20.35°, intensity 8
2θ = 11.71°, intensity 2
2θ = 41.38°, intensity 1
2θ = 55.74°, intensity 1

Structure:
Cell: 8.727 8.727 3.413 Å, 90.00 90.00 120.00°
Sites, in units of the cell vectors:
Tb  0.333  0.667  0.000
Tb  0.667  0.333  0.000
Th  0.000  0.000  0.000
Cd  0.000  0.337  0.500
Cd  0.000  0.663  0.500
Cd  0.337  0.000  0.500
Cd  0.337  0.337  0.500
Cd  0.663  0.000  0.500
Cd  0.663  0.663  0.500

[12]
The following is a theoretical X-ray diffraction stick pattern of Tb3ThCd4. It was derived from a DFT-relaxed cell (PBE, Alexandria), using Cu Kα, 1.54184 Å.
Lines closer than 0.1° are merged.

Largest 12 diffraction maxima, most intense first, 2θ from 10° to 80°:
2θ = 33.40°, intensity 100
2θ = 33.77°, intensity 49
2θ = 60.17°, intensity 36
2θ = 59.46°, intensity 19
2θ = 48.50°, intensity 18
2θ = 70.15°, intensity 11
2θ = 47.40°, intensity 9
2θ = 79.12°, intensity 8
2θ = 71.02°, intensity 6
2θ = 23.70°, intensity 5
2θ = 23.19°, intensity 3
2θ = 41.36°, intensity 2

Structure:
Cell: 10.618 7.672 5.309 Å, 90.00 90.00 90.00°
Sites, in units of the cell vectors:
Tb  0.000  0.000  0.000
Tb  0.250  0.000  0.499
Tb  0.250  0.500  0.499
Tb  0.500  0.000  0.000
Tb  0.750  0.000  0.501
Tb  0.750  0.500  0.501
Th  0.000  0.500  0.000
Th  0.500  0.500  0.000
Cd  0.000  0.242  0.500
Cd  0.000  0.758  0.500
Cd  0.250  0.242  0.999
Cd  0.250  0.758  0.999
Cd  0.500  0.242  0.500
Cd  0.500  0.758  0.500
Cd  0.750  0.242  0.001
Cd  0.750  0.758  0.001

[13]
The following is a theoretical X-ray diffraction stick pattern of Tb7Tl5Cd. It was derived from a DFT-relaxed cell (PBE, Alexandria), using Cu Kα, 1.54184 Å.
Lines closer than 0.1° are merged.

Largest 12 diffraction maxima, most intense first, 2θ from 10° to 80°:
2θ = 35.87°, intensity 100
2θ = 31.60°, intensity 71
2θ = 33.43°, intensity 63
2θ = 32.98°, intensity 52
2θ = 37.51°, intensity 41
2θ = 61.35°, intensity 32
2θ = 16.54°, intensity 31
2θ = 28.33°, intensity 26
2θ = 58.61°, intensity 24
2θ = 65.99°, intensity 18
2θ = 51.33°, intensity 18
2θ = 69.18°, intensity 17

Structure:
Cell: 8.282 8.282 8.282 Å, 132.51 99.32 99.34°
Sites, in units of the cell vectors:
Tb  0.000  0.000  0.000
Tb  0.296  0.615  0.681
Tb  0.358  0.358  0.000
Tb  0.422  0.097  0.326
Tb  0.771  0.097  0.674
Tb  0.846  0.346  0.500
Tb  0.934  0.615  0.319
Tl  0.093  0.102  0.479
Tl  0.093  0.613  0.991
Tl  0.353  0.853  0.500
Tl  0.622  0.102  0.009
Tl  0.622  0.613  0.521
Cd  0.665  0.665  0.000

[14]
The following is a theoretical X-ray diffraction stick pattern of TbTl3Cd2. It was derived from a DFT-relaxed cell (PBE, Alexandria), using Cu Kα, 1.54184 Å.
Lines closer than 0.1° are merged.

Largest 12 diffraction maxima, most intense first, 2θ from 10° to 80°:
2θ = 33.05°, intensity 100
2θ = 35.30°, intensity 21
2θ = 36.59°, intensity 19
2θ = 61.94°, intensity 16
2θ = 63.64°, intensity 15
2θ = 51.75°, intensity 14
2θ = 42.80°, intensity 12
2θ = 69.35°, intensity 12
2θ = 57.54°, intensity 11
2θ = 56.65°, intensity 11
2θ = 72.21°, intensity 10
2θ = 25.21°, intensity 4

Structure:
Cell: 4.912 15.254 4.225 Å, 90.00 90.00 90.00°
Sites, in units of the cell vectors:
Tb  0.000  0.000  0.000
Tb  0.500  0.500  0.000
Tl  0.000  0.169  0.500
Tl  0.000  0.500  0.500
Tl  0.000  0.831  0.500
Tl  0.500  0.000  0.500
Tl  0.500  0.331  0.500
Tl  0.500  0.669  0.500
Cd  0.000  0.333  0.000
Cd  0.000  0.667  0.000
Cd  0.500  0.167  0.000
Cd  0.500  0.833  0.000